[1]
Structure and theoretical powder XRD pattern of TbEr2Se3 (DFT lattice parameters and positions (GGA-PBE); Cu Kα, 1.54184 Å).
Peak positions follow from Bragg's law for the DFT cell and can differ from measured ones.

Structural model:
a b c (Å): 4.061 5.716 12.106
angles (deg): 90.00 90.00 90.00
Fractional coordinates of all 12 atoms:
Tb 0.000 0.000 0.000
Tb 0.500 0.500 0.500
Er 0.000 0.000 0.337
Er 0.000 0.000 0.663
Er 0.500 0.500 0.163
Er 0.500 0.500 0.837
Se 0.000 0.500 0.000
Se 0.000 0.500 0.329
Se 0.000 0.500 0.671
Se 0.500 0.000 0.171
Se 0.500 0.000 0.500
Se 0.500 0.000 0.829

The 12 most intense peaks (10 to 80 degrees two-theta), sorted by position:
26.93°, rel. 112; 27.05°, rel. 111; 31.27°, rel. 1000; 44.63°, rel. 125; 44.81°, rel. 492; 44.93°, rel. 121; 53.14°, rel. 73; 55.52°, rel. 133; 55.77°, rel. 127; 65.18°, rel. 80; 74.09°, rel. 110; 74.17°, rel. 111



[2]
Structure and theoretical powder XRD pattern of PrY2Mg3Ga2Au (DFT lattice parameters and positions (GGA-PBE); Cu Kα, 1.54184 Å).
Peak positions follow from Bragg's law for the DFT cell and can differ from measured ones.

Structural model:
a b c (Å): 4.396 7.459 7.459
angles (deg): 120.48 90.00 90.00
Fractional coordinates of all 9 atoms:
Pr 0.000 0.000 0.000
Y 0.000 0.166 0.583
Y 0.000 0.583 0.166
Mg 0.500 0.339 0.339
Mg 0.500 0.580 0.825
Mg 0.500 0.825 0.580
Ga 0.500 0.253 0.914
Ga 0.500 0.914 0.253
Au 0.000 0.575 0.575

The 12 most intense peaks (10 to 80 degrees two-theta), sorted by position:
20.20°, rel. 317; 23.86°, rel. 218; 24.03°, rel. 211; 24.50°, rel. 396; 27.55°, rel. 200; 27.75°, rel. 318; 31.46°, rel. 300; 34.40°, rel. 522; 34.57°, rel. 1000; 41.07°, rel. 327; 42.17°, rel. 224; 42.40°, rel. 214